Theoretical powder X-ray diffraction pattern of CdAgS2O8 for λ = 1.5418 Å (Cu Kα), from a PBE-relaxed structure.

Top 8 peaks for 10 to 80 degrees two-theta, in order of rising 2θ:
| Position (°2θ) | I_rel | h k l |
| --- | --- | --- |
| 22.12 | 20 | 0 1 2 |
| 26.21 | 100 | 1 0 4 |
| 36.05 | 36 | 1 1 0 |
| 38.71 | 28 | 0 1 8 |
| 43.87 | 27 | 1 1 6 |
| 45.11 | 17 | 0 2 4 |
| 59.05 | 15 | 3 -1 4 |
| 62.74 | 17 | 2 -1 12 |

Structural model:
a = 4.9828 Å, b = 4.9828 Å, c = 22.0963 Å
α = 90.00°, β = 90.00°, γ = 120.00°
Space group R-3 (No. 148, hexagonal axes)
Inequivalent atoms, fractional coordinates:
Cd  0.0000  0.0000  0.0000 (multiplicity 3)
Ag  0.0000  0.0000  0.5000 (multiplicity 3)
S  0.0000  0.0000  0.2480 (multiplicity 6)
O  0.0000  0.0000  0.1805 (multiplicity 6)
O  0.0135  0.2902  0.2696 (multiplicity 18)